For LiCrP2O7, DFT lattice parameters and positions (PBE+U) gives the calculated powder diffraction line list in this record (Cu Kα (weighted mean of Kα1 and Kα2)).

Most intense lines, 2θ from 5° to 70°, low angle first:
2theta	Rel. int.
14.7	70.7
19.0	25.8
21.5	13.2
26.2	12.0
28.9	13.2
29.4	34.5
29.6	100.0
43.0	11.3
48.7	15.2
58.2	16.2

Structural model:
abc: 6.683 8.249 9.174
angles: 90.00 105.22 90.00
Sites, in units of the cell vectors:
Li 0.243 0.073 0.251
Li 0.243 0.427 0.251
Li 0.757 0.573 0.749
Li 0.757 0.927 0.749
Cr 0.250 0.066 0.750
Cr 0.250 0.434 0.750
Cr 0.750 0.566 0.250
Cr 0.750 0.934 0.250
P 0.003 0.250 0.942
P 0.084 0.750 0.528
P 0.416 0.750 0.973
P 0.495 0.250 0.557
P 0.505 0.750 0.443
P 0.584 0.250 0.027
P 0.916 0.250 0.472
P 0.997 0.750 0.058
O 0.019 0.093 0.851
O 0.019 0.407 0.851
O 0.085 0.597 0.619
O 0.085 0.903 0.619
O 0.114 0.250 0.611
O 0.133 0.250 0.103
O 0.240 0.750 0.060
O 0.262 0.750 0.444
O 0.363 0.250 0.397
O 0.385 0.250 0.889
O 0.413 0.597 0.881
O 0.413 0.903 0.881
O 0.481 0.093 0.648
O 0.481 0.407 0.648
O 0.519 0.593 0.352
O 0.519 0.907 0.352
O 0.587 0.097 0.119
O 0.587 0.403 0.119
O 0.615 0.750 0.111
O 0.637 0.750 0.603
O 0.738 0.250 0.556
O 0.760 0.250 0.940
O 0.867 0.750 0.897
O 0.886 0.750 0.389
O 0.915 0.097 0.381
O 0.915 0.403 0.381
O 0.981 0.593 0.149
O 0.981 0.907 0.149

***

For LiCrPO4, DFT lattice parameters and positions (PBE+U) gives the calculated powder diffraction line list in this record (Cu Kα (weighted mean of Kα1 and Kα2)).

Most intense lines, 2θ from 5° to 70°, low angle first:
2theta	Rel. int.
19.8	57.6
24.4	73.2
30.1	30.1
31.9	23.3
33.1	100.0
35.5	41.1
37.4	16.0
40.3	29.0
52.3	35.1
59.2	18.5

Structural model:
abc: 7.393 5.584 6.284
angles: 76.81 47.34 55.85
Sites, in units of the cell vectors:
Li 0.000 0.000 0.000
Li 0.250 0.250 0.250
Cr 0.342 0.342 0.658
Cr 0.592 0.592 0.908
P 0.697 0.697 0.303
P 0.947 0.947 0.553
O 0.035 0.555 0.109
O 0.077 0.621 0.583
O 0.141 0.949 0.215
O 0.531 0.667 0.629
O 0.555 0.035 0.301
O 0.621 0.077 0.719
O 0.667 0.531 0.173
O 0.949 0.141 0.695

***

For Li4Cr2P3O12, DFT lattice parameters and positions (PBE+U) gives the calculated powder diffraction line list in this record (Cu Kα (weighted mean of Kα1 and Kα2)).

Most intense lines, 2θ from 5° to 70°, low angle first:
2theta	Rel. int.
13.9	59.0
14.5	100.0
19.3	55.3
19.6	61.1
24.0	86.2
24.2	43.0
28.0	46.7
30.8	48.3
31.3	42.2
31.5	54.3

Structural model:
abc: 8.314 8.512 9.107
angles: 62.72 89.72 61.20
Sites, in units of the cell vectors:
Li 0.037 0.200 0.082
Li 0.186 0.038 0.397
Li 0.227 0.182 0.653
Li 0.420 0.411 0.364
Li 0.580 0.589 0.636
Li 0.773 0.818 0.347
Li 0.814 0.962 0.603
Li 0.963 0.800 0.918
Cr 0.161 0.685 0.463
Cr 0.356 0.290 0.060
Cr 0.644 0.710 0.940
Cr 0.839 0.315 0.537
P 0.050 0.486 0.257
P 0.257 0.777 0.760
P 0.452 0.803 0.247
P 0.548 0.197 0.753
P 0.743 0.223 0.240
P 0.950 0.514 0.743
O 0.013 0.648 0.307
O 0.041 0.939 0.718
O 0.047 0.297 0.405
O 0.098 0.400 0.915
O 0.252 0.389 0.229
O 0.299 0.749 0.602
O 0.310 0.574 0.924
O 0.322 0.037 0.207
O 0.334 0.701 0.301
O 0.372 0.313 0.601
O 0.376 0.866 0.781
O 0.492 0.191 0.914
O 0.508 0.809 0.086
O 0.624 0.134 0.219
O 0.628 0.687 0.399
O 0.666 0.299 0.699
O 0.678 0.963 0.793
O 0.690 0.426 0.076
O 0.701 0.251 0.398
O 0.748 0.611 0.771
O 0.902 0.600 0.085
O 0.953 0.703 0.595
O 0.959 0.061 0.282
O 0.987 0.352 0.693

***

For Li2Cr5P4O16, DFT lattice parameters and positions (PBE+U) gives the calculated powder diffraction line list in this record (Cu Kα (weighted mean of Kα1 and Kα2)).

Most intense lines, 2θ from 5° to 70°, low angle first:
2theta	Rel. int.
11.5	56.7
18.9	96.2
25.0	99.5
28.0	100.0
28.6	42.3
30.4	68.2
31.3	56.1
33.4	57.7
34.3	67.4
35.9	65.6

Structural model:
abc: 5.512 8.056 8.642
angles: 63.35 84.45 79.16
Sites, in units of the cell vectors:
Li 0.130 0.104 0.210
Li 0.870 0.896 0.790
Cr 0.210 0.254 0.790
Cr 0.324 0.443 0.294
Cr 0.500 0.000 0.500
Cr 0.676 0.557 0.706
Cr 0.790 0.746 0.210
P 0.169 0.694 0.507
P 0.374 0.801 0.912
P 0.626 0.199 0.088
P 0.831 0.306 0.493
O 0.066 0.254 0.401
O 0.104 0.643 0.363
O 0.177 0.983 0.845
O 0.244 0.635 0.027
O 0.311 0.863 0.413
O 0.333 0.516 0.644
O 0.397 0.181 0.009
O 0.482 0.782 0.743
O 0.518 0.218 0.257
O 0.603 0.819 0.991
O 0.667 0.484 0.356
O 0.689 0.137 0.587
O 0.756 0.365 0.973
O 0.823 0.017 0.155
O 0.896 0.357 0.637
O 0.934 0.746 0.599

***

For LiCrPO4, DFT lattice parameters and positions (PBE+U) gives the calculated powder diffraction line list in this record (Cu Kα (weighted mean of Kα1 and Kα2)).

Most intense lines, 2θ from 5° to 70°, low angle first:
2theta	Rel. int.
20.1	41.3
23.3	15.9
24.4	53.5
33.6	100.0
34.4	31.0
35.8	30.6
44.0	24.4
50.0	26.4
59.6	22.2
63.5	11.7

Structural model:
abc: 6.452 5.010 9.466
angles: 90.00 90.06 90.00
Sites, in units of the cell vectors:
Li 0.249 0.000 0.172
Li 0.249 0.500 0.672
Li 0.751 0.000 0.828
Li 0.751 0.500 0.328
Cr 0.000 0.482 0.000
Cr 0.000 0.983 0.500
Cr 0.500 0.481 0.000
Cr 0.500 0.982 0.500
P 0.251 0.477 0.312
P 0.251 0.976 0.811
P 0.749 0.477 0.688
P 0.749 0.976 0.189
O 0.053 0.113 0.862
O 0.053 0.613 0.362
O 0.250 0.004 0.641
O 0.250 0.176 0.360
O 0.250 0.504 0.141
O 0.250 0.676 0.860
O 0.450 0.111 0.862
O 0.450 0.611 0.362
O 0.550 0.111 0.138
O 0.550 0.611 0.638
O 0.750 0.004 0.359
O 0.750 0.176 0.640
O 0.750 0.504 0.859
O 0.750 0.676 0.140
O 0.947 0.113 0.138
O 0.947 0.613 0.638

***

For Li3CrP2O8, DFT lattice parameters and positions (PBE+U) gives the calculated powder diffraction line list in this record (Cu Kα (weighted mean of Kα1 and Kα2)).

Most intense lines, 2θ from 5° to 70°, low angle first:
2theta	Rel. int.
13.2	57.0
23.7	65.4
24.4	100.0
32.4	16.0
33.5	22.2
34.2	27.8
36.0	18.9
39.9	9.3
50.0	9.8
58.4	10.3

Structural model:
abc: 6.722 5.343 8.511
angles: 90.00 95.96 90.00
Sites, in units of the cell vectors:
Li 0.079 0.250 0.195
Li 0.173 0.750 0.506
Li 0.236 0.250 0.867
Li 0.764 0.750 0.133
Li 0.827 0.250 0.494
Li 0.921 0.750 0.805
Cr 0.479 0.750 0.746
Cr 0.521 0.250 0.254
P 0.247 0.750 0.098
P 0.284 0.250 0.561
P 0.716 0.750 0.439
P 0.753 0.250 0.902
O 0.019 0.750 0.062
O 0.097 0.250 0.442
O 0.275 0.019 0.675
O 0.275 0.481 0.675
O 0.308 0.508 0.194
O 0.308 0.992 0.194
O 0.357 0.750 0.948
O 0.476 0.250 0.479
O 0.524 0.750 0.521
O 0.643 0.250 0.052
O 0.692 0.008 0.806
O 0.692 0.492 0.806
O 0.725 0.519 0.325
O 0.725 0.981 0.325
O 0.903 0.750 0.558
O 0.981 0.250 0.938